[1]
Starting from a cell relaxed with GGA-PBE, the powder diffractogram of TbHgI3 was simulated for CuKα.
Intensities are scaled so that the largest is 100.

The 10 most intense peaks (2θ from 10° to 80°), by angle:
2theta	I/Imax
16.31	40
24.03	100
26.36	38
27.17	27
28.22	62
28.38	40
33.47	69
35.12	38
41.19	31
45.94	38

Atomic structure:
Lattice parameters (Å, degrees): 11.173 11.173 7.749 90.10 90.10 76.63
Atoms (fractional coordinates):
Tb (0.169, 0.331, 0.073)
Tb (0.331, 0.169, 0.573)
Tb (0.669, 0.831, 0.427)
Tb (0.831, 0.669, 0.927)
Hg (0.223, 0.777, 0.250)
Hg (0.277, 0.723, 0.750)
Hg (0.723, 0.277, 0.250)
Hg (0.777, 0.223, 0.750)
I (0.033, 0.467, 0.760)
I (0.100, 0.168, 0.359)
I (0.168, 0.100, 0.859)
I (0.332, 0.400, 0.360)
I (0.400, 0.332, 0.860)
I (0.467, 0.033, 0.260)
I (0.533, 0.967, 0.740)
I (0.600, 0.668, 0.140)
I (0.668, 0.600, 0.640)
I (0.832, 0.900, 0.141)
I (0.900, 0.832, 0.641)
I (0.967, 0.533, 0.240)

[2]
Starting from a cell relaxed with GGA-PBE, the powder diffractogram of Cs3In2Pb9 was simulated for CuKα.
Intensities are scaled so that the largest is 100.

The 10 most intense peaks (2θ from 10° to 80°), by angle:
2theta	I/Imax
14.37	26
28.51	24
29.29	100
31.93	82
32.34	18
35.94	40
36.43	20
40.98	28
50.21	36
63.60	24

Atomic structure:
Lattice parameters (Å, degrees): 7.269 7.269 12.331 90.00 90.00 120.00
Atoms (fractional coordinates):
Cs (0.000, 0.000, 0.000)
Cs (0.333, 0.667, 0.275)
Cs (0.667, 0.333, 0.725)
In (0.333, 0.667, 0.806)
In (0.667, 0.333, 0.194)
Pb (0.000, 0.500, 0.000)
Pb (0.174, 0.348, 0.596)
Pb (0.174, 0.826, 0.596)
Pb (0.348, 0.174, 0.404)
Pb (0.500, 0.000, 0.000)
Pb (0.500, 0.500, 0.000)
Pb (0.652, 0.826, 0.596)
Pb (0.826, 0.174, 0.404)
Pb (0.826, 0.652, 0.404)

[3]
Starting from a cell relaxed with GGA-PBE, the powder diffractogram of TmH5Os was simulated for CuKα.
Intensities are scaled so that the largest is 100.

The 10 most intense peaks (2θ from 10° to 80°), by angle:
2theta	I/Imax
21.81	28
26.37	69
37.01	100
38.26	78
47.07	15
50.50	12
54.29	34
68.32	23
68.40	11
74.60	23

Atomic structure:
Lattice parameters (Å, degrees): 4.707 4.707 6.050 90.00 90.00 120.09
Atoms (fractional coordinates):
Tm (0.169, 0.831, 0.750)
Tm (0.831, 0.169, 0.250)
H (0.101, 0.356, 0.569)
H (0.101, 0.356, 0.931)
H (0.356, 0.101, 0.069)
H (0.356, 0.101, 0.431)
H (0.380, 0.620, 0.250)
H (0.620, 0.380, 0.750)
H (0.644, 0.899, 0.569)
H (0.644, 0.899, 0.931)
H (0.899, 0.644, 0.069)
H (0.899, 0.644, 0.431)
Os (0.500, 0.500, 0.000)
Os (0.500, 0.500, 0.500)

[4]
Starting from a cell relaxed with GGA-PBE, the powder diffractogram of La3Y2Th was simulated for CuKα.
Intensities are scaled so that the largest is 100.

The 10 most intense peaks (2θ from 10° to 80°), by angle:
2theta	I/Imax
10.31	13
29.92	100
34.61	34
34.84	17
49.76	12
49.93	24
59.09	15
59.22	14
59.46	14
62.18	12

Atomic structure:
Lattice parameters (Å, degrees): 9.671 9.671 9.671 148.87 115.64 73.22
Atoms (fractional coordinates):
La (0.000, 0.000, 0.000)
La (0.173, 0.668, 0.505)
La (0.338, 0.332, 0.005)
La (0.500, 0.000, 0.500)
La (0.662, 0.668, 0.995)
La (0.827, 0.332, 0.495)
Y (0.084, 0.834, 0.250)
Y (0.254, 0.504, 0.750)
Y (0.746, 0.496, 0.250)
Y (0.916, 0.166, 0.750)
Th (0.421, 0.171, 0.250)
Th (0.579, 0.829, 0.750)